Starting from a structure optimized by DFT (PBE), the PXRD pattern of Tm2Si3Ni4Ir was simulated for a wavelength of 1.5418 Å.
Kinematic intensities with the Lorentz-polarization factor, no thermal factor.

Cell and atoms:
```
10
Lattice="3.8571 0.0000 0.0000 0.0000 3.8571 0.0000 0.0000 0.0000 10.0541" Properties=species:S:1:pos:R:3 pbc="T T T"
Tm 0.0000 1.9285 2.4821
Tm 1.9285 0.0000 7.5720
Si 0.0000 1.9285 8.7935
Si 1.9285 0.0000 1.2605
Si 1.9285 1.9285 5.0270
Ni 0.0000 0.0000 0.0000
Ni 0.0000 1.9285 6.5376
Ni 1.9285 0.0000 3.5165
Ni 1.9285 1.9285 0.0000
Ir 0.0000 0.0000 5.0270
```

The 10 most intense peaks (2θ from 10° to 90°), sorted by position:
| (hkl) | two_theta | I/Imax |
| --- | --- | --- |
| 1 0 1 | 24.72 | 33.4 |
| 1 0 3 | 35.48 | 43.9 |
| 0 0 4 | 35.72 | 14.7 |
| 1 1 2 | 37.52 | 100.0 |
| 2 0 0 | 47.12 | 37.5 |
| 1 0 5 | 51.23 | 21.7 |
| 2 1 3 | 60.35 | 18.9 |
| 2 0 4 | 60.51 | 13.0 |
| 2 1 5 | 72.15 | 15.4 |
| 3 1 2 | 81.14 | 21.0 |